Structure and theoretical powder XRD pattern of TlAg3SnS4 (a DFT-relaxed cell (PBE, OQMD); Cu Kα).
No peak broadening, texture or thermal motion is included.

The 10 most intense peaks (15 to 90 degrees two-theta), by angle:
d_spacing	two_theta	I_rel
4.835	18.35	65
3.572	24.93	100
3.248	27.46	91
3.118	28.63	93
3.050	29.28	92
3.021	29.57	45
2.840	31.50	43
2.390	37.63	68
2.244	40.18	47
2.236	40.34	85

Cell and atoms:
a = 6.503 Å, b = 7.665 Å, c = 10.281 Å
α = 90.00°, β = 106.64°, γ = 90.00°
Atoms (fractional coordinates):
Tl 0.166 0.250 0.112
Tl 0.834 0.750 0.888
Ag 0.237 0.056 0.545
Ag 0.237 0.444 0.545
Ag 0.327 0.250 0.814
Ag 0.673 0.750 0.186
Ag 0.763 0.556 0.455
Ag 0.763 0.944 0.455
Sn 0.192 0.750 0.284
Sn 0.808 0.250 0.716
S 0.042 0.502 0.721
S 0.042 0.998 0.721
S 0.287 0.750 0.077
S 0.467 0.750 0.504
S 0.533 0.250 0.496
S 0.713 0.250 0.923
S 0.958 0.002 0.279
S 0.958 0.498 0.279



Structure and theoretical powder XRD pattern of RbPa2S5 (a DFT-relaxed cell (PBE, OQMD); Cu Kα).
No peak broadening, texture or thermal motion is included.

The 10 most intense peaks (15 to 90 degrees two-theta), by angle:
d_spacing	two_theta	I_rel
4.039	22.01	25
3.910	22.75	100
3.588	24.82	58
3.426	26.01	30
3.206	27.83	72
2.613	34.32	43
2.364	38.07	28
2.321	38.81	43
1.946	46.68	43
1.854	49.15	27

Cell and atoms:
a = 4.211 Å, b = 6.853 Å, c = 14.281 Å
α = 90.00°, β = 90.00°, γ = 90.00°
Atoms (fractional coordinates):
Rb 0.000 0.000 0.000
Rb 0.500 0.500 0.500
Pa 0.000 0.500 0.185
Pa 0.000 0.500 0.815
Pa 0.500 0.000 0.315
Pa 0.500 0.000 0.685
S 0.000 0.253 0.340
S 0.000 0.253 0.660
S 0.000 0.500 0.000
S 0.000 0.747 0.340
S 0.000 0.747 0.660
S 0.500 0.000 0.500
S 0.500 0.247 0.160
S 0.500 0.247 0.840
S 0.500 0.753 0.160
S 0.500 0.753 0.840



Structure and theoretical powder XRD pattern of Fe2SiB (a DFT-relaxed cell (PBE, OQMD); Cu Kα).
No peak broadening, texture or thermal motion is included.

The 10 most intense peaks (15 to 90 degrees two-theta), by angle:
d_spacing	two_theta	I_rel
3.035	29.43	1
2.629	34.11	42
2.351	38.28	7
1.859	49.01	100
1.753	52.19	3
1.518	61.05	9
1.314	71.82	14
1.275	74.40	3
1.176	81.95	9
1.147	84.44	1

Cell and atoms:
a = 5.258 Å, b = 5.258 Å, c = 5.258 Å
α = 90.00°, β = 90.00°, γ = 90.00°
Atoms (fractional coordinates):
Fe 0.238 0.238 0.238
Fe 0.238 0.238 0.762
Fe 0.238 0.762 0.238
Fe 0.238 0.762 0.762
Fe 0.762 0.238 0.238
Fe 0.762 0.238 0.762
Fe 0.762 0.762 0.238
Fe 0.762 0.762 0.762
Si 0.000 0.500 0.500
Si 0.500 0.000 0.500
Si 0.500 0.500 0.000
Si 0.500 0.500 0.500
B 0.000 0.000 0.000
B 0.000 0.000 0.500
B 0.000 0.500 0.000
B 0.500 0.000 0.000



Structure and theoretical powder XRD pattern of Dy3Y2TmCoTe2 (a DFT-relaxed cell (PBE, OQMD); Cu Kα).
No peak broadening, texture or thermal motion is included.

The 10 most intense peaks (15 to 90 degrees two-theta), by angle:
d_spacing	two_theta	I_rel
2.864	31.23	100
2.844	31.46	48
2.755	32.50	34
2.737	32.71	44
2.709	33.07	43
2.672	33.54	39
2.650	33.82	58
2.399	37.49	30
1.959	46.35	31
1.516	61.11	29

Cell and atoms:
a = 3.918 Å, b = 8.394 Å, c = 8.394 Å
α = 120.97°, β = 90.00°, γ = 90.00°
Atoms (fractional coordinates):
Dy 0.000 0.000 0.000
Dy 0.000 0.528 0.764
Dy 0.000 0.764 0.528
Y 0.500 0.162 0.761
Y 0.500 0.761 0.162
Tm 0.500 0.371 0.371
Co 0.500 0.747 0.747
Te 0.000 0.097 0.429
Te 0.000 0.429 0.097



Structure and theoretical powder XRD pattern of LaTmTeO2 (a DFT-relaxed cell (PBE, OQMD); Cu Kα).
No peak broadening, texture or thermal motion is included.

The 10 most intense peaks (15 to 90 degrees two-theta), by angle:
d_spacing	two_theta	I_rel
2.903	30.80	100
2.817	31.76	39
2.119	42.66	9
1.992	45.54	20
1.694	54.16	22
1.642	55.99	37
1.451	64.16	11
1.332	70.75	8
1.267	74.94	8
1.107	88.28	10

Cell and atoms:
a = 3.984 Å, b = 3.984 Å, c = 12.716 Å
α = 90.00°, β = 90.00°, γ = 90.00°
Atoms (fractional coordinates):
La 0.000 0.000 0.000
La 0.500 0.500 0.500
Tm 0.000 0.000 0.679
Tm 0.500 0.500 0.179
Te 0.000 0.000 0.338
Te 0.500 0.500 0.838
O 0.000 0.500 0.100
O 0.000 0.500 0.600
O 0.500 0.000 0.100
O 0.500 0.000 0.600



Structure and theoretical powder XRD pattern of CoAsOs2 (a DFT-relaxed cell (PBE, OQMD); Cu Kα).
No peak broadening, texture or thermal motion is included.

The 7 most intense peaks (15 to 90 degrees two-theta), by angle:
d_spacing	two_theta	I_rel
3.516	25.33	26
2.153	41.96	100
1.836	49.65	13
1.522	60.85	17
1.397	66.98	6
1.243	76.66	34
1.172	82.27	4

Cell and atoms:
a = 6.090 Å, b = 6.090 Å, c = 6.090 Å
α = 90.00°, β = 90.00°, γ = 90.00°
Atoms (fractional coordinates):
Co 0.000 0.000 0.000
Co 0.000 0.500 0.500
Co 0.500 0.000 0.500
Co 0.500 0.500 0.000
As 0.250 0.250 0.750
As 0.250 0.750 0.250
As 0.750 0.250 0.250
As 0.750 0.750 0.750
Os 0.000 0.000 0.500
Os 0.000 0.500 0.000
Os 0.250 0.250 0.250
Os 0.250 0.750 0.750
Os 0.500 0.000 0.000
Os 0.500 0.500 0.500
Os 0.750 0.250 0.750
Os 0.750 0.750 0.250